The following is a calculated powder XRD pattern of Sm3Er4Sc4. It was derived from a crystal structure in Alexandria, relaxed with GGA-PBE, using a wavelength of 1.5418 Å.
Peak positions follow from Bragg's law for the DFT cell and can differ from measured ones.

abc: 10.1599 5.4796 11.7518
angles: 90.00 90.00 90.00
Space group Amm2 (No. 38)
One atom of each set of equivalent atoms:
Sm 0.0000 0.0000 0.0000 (multiplicity 2)
Sm 0.3052 0.0000 0.1409 (multiplicity 4)
Er 0.0000 0.0000 0.2993 (multiplicity 2)
Er 0.2817 0.0000 0.8383 (multiplicity 4)
Er 0.5000 0.0000 0.3732 (multiplicity 2)
Sc 0.0000 0.0000 0.6904 (multiplicity 2)
Sc 0.2142 0.0000 0.5035 (multiplicity 4)
Sc 0.5000 0.0000 0.6359 (multiplicity 2)

The 12 most intense peaks (2θ from 10° to 80°), in order of rising 2θ:
2theta, I/Imax, (hkl)
17.9, 13, 0 1 1
25.1, 29, 2 1 1
29.4, 16, 1 1 3
31.7, 16, 1 0 4
32.0, 29, 3 1 1
32.7, 38, 0 2 0
33.2, 100, 2 1 3
35.3, 19, 4 0 0
48.9, 15, 4 2 0
57.9, 12, 0 2 6
58.7, 23, 2 3 3
64.2, 12, 3 1 7